Starting from the PBE geometry in Alexandria, the X-ray diffraction stick pattern of Th2Fe2B2C was computed for copper Kα.
Neutral-atom scattering factors, no anomalous dispersion.

Atomic structure:
a = 10.288 Å, b = 3.684 Å, c = 6.597 Å
α = 90.00°, β = 125.68°, γ = 90.00°
Fractional coordinates of all 14 atoms:
Th 0.062 0.000 0.321
Th 0.438 0.500 0.679
Th 0.562 0.500 0.321
Th 0.938 0.000 0.679
Fe 0.203 0.500 0.089
Fe 0.297 0.000 0.911
Fe 0.703 0.000 0.089
Fe 0.797 0.500 0.911
B 0.197 0.500 0.772
B 0.303 0.000 0.228
B 0.697 0.000 0.772
B 0.803 0.500 0.228
C 0.000 0.500 0.000
C 0.500 0.000 0.000

Peak list (10 most intense, 2θ = 15–90°, sorted by position)
d [Å]  2theta  I_rel  hkl
4.178  21.26  26  2 0 0
3.371  26.44  87  1 1 0
3.290  27.10  51  2 0 -2
2.633  34.05  47  2 0 1
2.592  34.61  36  1 1 1
2.503  35.87  100  4 0 -2
2.389  37.65  70  1 1 -2
2.321  38.79  30  3 1 -2
1.842  49.48  21  0 2 0
1.483  62.63  21  4 2 -2